Structure and theoretical X-ray powder pattern of BaNdCo2O5 (a PBE+U-relaxed structure; a wavelength of 1.5418 Å).
Intensities are scaled so that the largest is 100.

```
BaNdCo2O5
1.0
3.915 0.000 0.000
0.000 3.940 0.000
0.000 0.000 7.898
Ba Nd Co O
1 1 2 5
Cartesian
0.000 0.000 0.000
0.000 0.000 3.971
1.957 1.970 2.074
1.957 1.970 5.874
0.000 1.970 2.508
0.000 1.970 5.496
1.957 0.000 2.413
1.957 0.000 5.511
1.957 1.970 0.032
```

Peak list (10 most intense, 2θ from 10° to 90°, sorted by position)
hkl  2theta  I/Imax
0 1 0  22.55  14
0 1 2  32.09  54
1 0 2  32.21  100
1 1 2  39.68  20
0 0 4  45.96  12
0 2 0  46.08  15
2 0 0  46.39  15
1 1 4  57.28  43
2 1 2  57.52  20
2 2 0  67.41  16